# 1
The following is a simulated powder diffraction line list of Dy4Ge8Ir. It was derived from a structure optimized by DFT (GGA-PBE), using Cu Kα X-rays.
Intensities are scaled so that the largest is 1000.

Lattice parameters (Å, degrees): 4.0397 4.1463 16.2045 90.00 90.00 90.00
Space group Pmm2 (No. 25)
Asymmetric unit:
Dy 0.0000 0.0000 0.0000
Dy 0.0000 0.5000 0.4886
Dy 0.5000 0.0000 0.7893
Dy 0.5000 0.5000 0.2851
Ge 0.0000 0.0000 0.3316
Ge 0.0000 0.0000 0.6223
Ge 0.0000 0.5000 0.1404
Ge 0.0000 0.5000 0.8563
Ge 0.5000 0.0000 0.1449
Ge 0.5000 0.0000 0.4363
Ge 0.5000 0.5000 0.6208
Ge 0.5000 0.5000 0.9569
Ir 0.0000 0.5000 0.7066

Main lines, sorted by position (15° ≤ 2θ ≤ 90°):
2theta  I (rel.)  (hkl)
31.41  121  1 1 1
33.17  88  0 0 6
35.18  1000  1 1 3
40.16  156  1 0 6
43.66  188  0 2 0
44.87  185  2 0 0
58.24  100  2 1 5
60.82  101  1 2 6
64.40  117  2 2 0
74.68  111  1 3 3

# 2
The following is a simulated powder diffraction line list of Dy7Ge2Ir2. It was derived from a structure optimized by DFT (GGA-PBE), using Cu Kα X-rays.
Intensities are scaled so that the largest is 1000.

Lattice parameters (Å, degrees): 8.6611 10.2927 6.9513 90.00 90.00 90.00
Space group Cmmm (No. 65)
Asymmetric unit:
Dy 0.0000 0.0000 0.0000
Dy 0.0000 0.5000 0.2421
Dy 0.2500 0.2500 0.2514
Ge 0.2242 0.0000 0.5000
Ir 0.0000 0.2777 0.0000

Main lines, sorted by position (15° ≤ 2θ ≤ 90°):
2theta  I (rel.)  (hkl)
24.21  455  2 0 1
26.91  276  2 2 0
29.01  225  1 1 2
33.05  214  2 0 2
34.87  441  0 4 0
37.50  1000  2 2 2
38.30  268  1 3 2
41.71  290  4 0 0
42.92  220  2 4 1
55.46  226  4 4 0

- Which formula does entry 1 have?
  Dy4Ge8Ir